For Na2TlBi2Rh2, the GGA-PBE geometry in Alexandria gives the simulated powder X-ray diffraction pattern in this record (Cu Ka).
No peak broadening, texture or thermal motion is included.

Largest 10 diffraction maxima, in order of rising 2θ, 10° ≤ 2θ ≤ 80°:
2θ 11.35, intensity 100; 2θ 24.54, intensity 23; 2θ 24.85, intensity 27; 2θ 33.76, intensity 54; 2θ 33.99, intensity 15; 2θ 35.43, intensity 42; 2θ 37.32, intensity 24; 2θ 49.74, intensity 37; 2θ 50.97, intensity 15; 2θ 73.98, intensity 12

Structural model:
```
7
Lattice="-2.5339 2.5339 7.7929 2.5339 -2.5339 7.7929 2.5339 2.5339 -7.7929" Properties=species:S:1:pos:R:3 pbc="T T T"
Na 0.0000 0.0000 2.9546
Na 0.0000 0.0000 12.6312
Tl 0.0000 0.0000 0.0000
Bi 0.0000 0.0000 6.2229
Bi 0.0000 0.0000 9.3628
Rh 2.5339 0.0000 0.0000
Rh 0.0000 2.5339 0.0000
```